This entry pairs a crystal structure of Fe2AsSO9 with its simulated X-ray diffraction stick pattern. Radiation: a wavelength of 1.5418 Å. Structure: DFT lattice parameters and positions (PBE+U).

Structure:
```
data_Fe2AsSO9
_chemical_formula_sum 'Fe2 As1 S1 O9'
_cell_length_a 5.189
_cell_length_b 5.200
_cell_length_c 7.659
_cell_angle_alpha 73.84
_cell_angle_beta 73.63
_cell_angle_gamma 86.91
_symmetry_space_group_name_H-M 'P 1'
_symmetry_Int_Tables_number 1
loop_
_symmetry_equiv_pos_as_xyz
'x,y,z'
loop_
_atom_site_label
_atom_site_type_symbol
_atom_site_fract_x
_atom_site_fract_y
_atom_site_fract_z
Fe1 Fe 0.000 0.000 0.000
Fe2 Fe 0.411 0.408 0.592
As1 As 0.359 0.049 0.296
S1 S 0.607 0.802 0.796
O1 O 0.076 0.043 0.222
O2 O 0.125 0.287 0.797
O3 O 0.337 0.777 0.485
O4 O 0.341 0.771 0.939
O5 O 0.359 0.329 0.374
O6 O 0.630 0.082 0.103
O7 O 0.639 0.067 0.653
O8 O 0.645 0.577 0.706
O9 O 0.832 0.766 0.886
```

Principal peaks in the range 10° ≤ 2θ ≤ 90°, most intense first:
| 2theta | I (rel.) |
| --- | --- |
| 24.54 | 100.0 |
| 17.79 | 62.5 |
| 28.22 | 43.1 |
| 27.99 | 25.4 |
| 26.59 | 20.4 |
| 34.70 | 18.0 |
| 40.47 | 17.7 |
| 18.74 | 16.3 |
| 24.92 | 12.0 |
| 58.38 | 10.1 |